Entry 1:
This entry pairs a crystal structure of Tb7Pm16Ho6 with its computed powder XRD pattern. Radiation: Cu Ka. Structure: a GGA-PBE-relaxed structure.
Peak positions follow from Bragg's law for the DFT cell and can differ from measured ones.

Cell and atoms:
a b c (Å): 15.9339 15.9339 15.9339
angles (deg): 90.00 90.00 90.00
Space group Fm-3m (No. 225)
Asymmetric unit:
Tb 0.0000 0.0000 0.0000 [4 per cell]
Tb 0.0000 0.2500 0.2500 [24 per cell]
Pm 0.1249 0.1249 0.1249 [32 per cell]
Pm 0.1497 0.1497 0.3503 [32 per cell]
Ho 0.0000 0.0000 0.2661 [24 per cell]

The 10 most intense peaks (2θ from 10° to 90°), most intense first:
| 2theta | I_rel | hkl |
| --- | --- | --- |
| 31.77 | 1000 | 4 4 0 |
| 56.59 | 277 | 8 4 4 |
| 45.54 | 146 | 8 0 0 |
| 29.12 | 94 | 3 3 3 |
| 75.47 | 79 | 12 4 0 |
| 66.38 | 77 | 8 8 0 |
| 27.42 | 63 | 4 2 2 |
| 43.63 | 57 | 7 3 1 |
| 60.06 | 55 | 7 7 3 |
| 33.27 | 51 | 5 3 1 |



Entry 2:
This entry pairs a crystal structure of TbPm2Ho5 with its computed powder XRD pattern. Radiation: Cu Ka. Structure: a GGA-PBE-relaxed structure.
Peak positions follow from Bragg's law for the DFT cell and can differ from measured ones.

Cell and atoms:
a b c (Å): 7.1221 14.2461 5.0288
angles (deg): 90.00 90.00 90.00
Space group Pbam (No. 55)
Asymmetric unit:
Tb 0.0000 0.0000 0.0000 [2 per cell]
Pm 0.2503 0.1252 0.5000 [4 per cell]
Ho 0.0004 0.2502 0.0000 [4 per cell]
Ho 0.0000 0.5000 0.0000 [2 per cell]
Ho 0.2504 0.3750 0.5000 [4 per cell]

The 10 most intense peaks (2θ from 10° to 90°), most intense first:
| 2theta | I_rel | hkl |
| --- | --- | --- |
| 30.76 | 1000 | 2 0 1 |
| 35.67 | 506 | 2 4 0 |
| 61.05 | 429 | 4 4 1 |
| 51.34 | 361 | 4 0 0 |
| 83.76 | 178 | 6 0 1 |
| 64.08 | 123 | 4 0 2 |
| 86.42 | 111 | 6 4 0 |
| 86.53 | 55 | 2 4 4 |
| 75.51 | 38 | 4 8 0 |
| 75.64 | 19 | 0 0 4 |



Entry 3:
This entry pairs a crystal structure of Tb3Pm4Ho with its computed powder XRD pattern. Radiation: Cu Ka. Structure: a GGA-PBE-relaxed structure.
Peak positions follow from Bragg's law for the DFT cell and can differ from measured ones.

Cell and atoms:
a b c (Å): 11.5616 7.3200 6.3162
angles (deg): 90.00 90.00 90.00
Space group Pmn2_1 (No. 31)
Asymmetric unit:
Tb 0.0000 0.1229 0.0000 [2 per cell]
Tb 0.2500 0.1225 0.3327 [4 per cell]
Pm 0.0000 0.3734 0.5002 [2 per cell]
Pm 0.0000 0.6269 0.9989 [2 per cell]
Pm 0.2493 0.6272 0.3335 [4 per cell]
Ho 0.0000 0.8777 0.4999 [2 per cell]

The 10 most intense peaks (2θ from 10° to 90°), most intense first:
| 2theta | I_rel | hkl |
| --- | --- | --- |
| 32.25 | 1000 | 2 2 1 |
| 30.94 | 248 | 4 0 0 |
| 28.21 | 236 | 0 2 1 |
| 55.87 | 211 | 6 2 1 |
| 42.36 | 158 | 4 2 1 |
| 59.94 | 151 | 4 2 3 |
| 49.98 | 131 | 0 2 3 |
| 60.64 | 109 | 2 4 2 |
| 59.82 | 76 | 4 4 0 |
| 49.83 | 66 | 0 4 0 |



Entry 4:
This entry pairs a crystal structure of Tb3PmHo with its computed powder XRD pattern. Radiation: Cu Ka. Structure: a GGA-PBE-relaxed structure.
Peak positions follow from Bragg's law for the DFT cell and can differ from measured ones.

Cell and atoms:
a b c (Å): 6.2795 5.7127 9.5987
angles (deg): 90.00 109.08 90.00
Space group P2_1/m (No. 11)
Asymmetric unit:
Tb 0.1341 0.2500 0.0990 [2 per cell]
Tb 0.2668 0.7500 0.7012 [2 per cell]
Tb 0.3348 0.2500 0.5006 [2 per cell]
Pm 0.0673 0.7500 0.2994 [2 per cell]
Ho 0.4662 0.7500 0.0987 [2 per cell]

The 10 most intense peaks (2θ from 10° to 90°), most intense first:
| 2theta | I_rel | hkl |
| --- | --- | --- |
| 32.53 | 1000 | 2 1 -1 |
| 31.32 | 246 | 0 2 0 |
| 28.41 | 237 | 1 0 2 |
| 60.47 | 227 | 3 2 1 |
| 56.51 | 209 | 2 3 -1 |
| 50.31 | 197 | 3 0 1 |
| 61.20 | 164 | 2 1 4 |
| 42.79 | 157 | 1 2 2 |
| 83.09 | 139 | 5 1 0 |
| 86.80 | 85 | 3 4 1 |



Entry 5:
This entry pairs a crystal structure of Tb7Pm12Ho with its computed powder XRD pattern. Radiation: Cu Ka. Structure: a GGA-PBE-relaxed structure.
Peak positions follow from Bragg's law for the DFT cell and can differ from measured ones.

Cell and atoms:
a b c (Å): 19.6162 19.6162 6.2129
angles (deg): 90.00 90.00 120.00
Space group R-3m (No. 166, hexagonal axes)
Asymmetric unit:
Tb 0.0000 0.0000 0.0000 [3 per cell]
Tb 0.0818 0.1637 0.2926 [18 per cell]
Pm 0.0000 0.4126 0.0000 [18 per cell]
Pm 0.0973 0.5486 0.4628 [18 per cell]
Ho 0.0000 0.0000 0.5000 [3 per cell]

The 10 most intense peaks (2θ from 10° to 90°), most intense first:
| 2theta | I_rel | hkl |
| --- | --- | --- |
| 29.98 | 1000 | 0 5 1 |
| 32.70 | 468 | 5 1 1 |
| 32.93 | 462 | 5 2 0 |
| 27.28 | 442 | 3 3 0 |
| 30.64 | 436 | 2 0 2 |
| 39.30 | 399 | 5 0 2 |
| 39.88 | 270 | 7 0 1 |
| 46.28 | 259 | 5 5 0 |
| 47.54 | 250 | 0 7 2 |
| 29.23 | 248 | 0 1 2 |



Entry 6:
This entry pairs a crystal structure of Tb3Pm4Ho3 with its computed powder XRD pattern. Radiation: Cu Ka. Structure: a GGA-PBE-relaxed structure.
Peak positions follow from Bragg's law for the DFT cell and can differ from measured ones.

Cell and atoms:
a b c (Å): 3.7991 13.1867 13.1693
angles (deg): 90.00 90.00 90.00
Space group Amm2 (No. 38)
Asymmetric unit:
Tb 0.0000 0.0000 0.0000 [2 per cell]
Tb 0.5000 0.2491 0.4188 [4 per cell]
Pm 0.5000 0.0000 0.5390 [2 per cell]
Pm 0.5000 0.0000 0.7988 [2 per cell]
Pm 0.5000 0.1303 0.1692 [4 per cell]
Ho 0.0000 0.0000 0.3379 [2 per cell]
Ho 0.0000 0.1689 0.6688 [4 per cell]

The 10 most intense peaks (2θ from 10° to 90°), most intense first:
| 2theta | I_rel | hkl |
| --- | --- | --- |
| 31.88 | 1000 | 1 3 1 |
| 30.34 | 871 | 0 2 4 |
| 55.82 | 211 | 0 0 8 |
| 47.87 | 191 | 2 0 0 |
| 58.62 | 186 | 1 3 7 |
| 27.07 | 147 | 0 0 4 |
| 46.77 | 131 | 1 3 5 |
| 38.66 | 126 | 0 4 4 |
| 57.73 | 118 | 2 4 2 |
| 57.75 | 99 | 2 2 4 |



Entry 7:
This entry pairs a crystal structure of TbPm4Ho with its computed powder XRD pattern. Radiation: Cu Ka. Structure: a GGA-PBE-relaxed structure.
Peak positions follow from Bragg's law for the DFT cell and can differ from measured ones.

Cell and atoms:
a b c (Å): 11.1270 6.0002 6.0076
angles (deg): 90.00 90.09 90.00
Space group C2/m (No. 12)
Asymmetric unit:
Tb 0.0000 0.0000 0.0000 [2 per cell]
Pm 0.1625 0.0000 0.4858 [4 per cell]
Pm 0.1623 0.5000 0.0147 [4 per cell]
Ho 0.0000 0.5000 0.5000 [2 per cell]

The 10 most intense peaks (2θ from 10° to 90°), most intense first:
| 2theta | I_rel | hkl |
| --- | --- | --- |
| 32.04 | 1000 | 3 1 1 |
| 29.76 | 606 | 0 2 0 |
| 54.28 | 442 | 3 3 1 |
| 42.59 | 227 | 0 2 2 |
| 58.50 | 177 | 6 2 0 |
| 67.01 | 116 | 6 2 2 |
| 70.09 | 100 | 0 4 2 |
| 71.33 | 95 | 3 3 3 |
| 86.81 | 88 | 3 5 1 |
| 49.13 | 75 | 6 0 0 |



Entry 8:
This entry pairs a crystal structure of Tb5Pm2Ho2 with its computed powder XRD pattern. Radiation: Cu Ka. Structure: a GGA-PBE-relaxed structure.
Peak positions follow from Bragg's law for the DFT cell and can differ from measured ones.

Cell and atoms:
a b c (Å): 3.6067 8.8854 9.5168
angles (deg): 76.67 79.09 89.99
Space group P-1 (No. 2)
Asymmetric unit:
Tb 0.0000 0.0000 0.0000 [1 per cell]
Tb 0.0765 0.6697 0.8496 [2 per cell]
Tb 0.2582 0.3315 0.4818 [2 per cell]
Pm 0.4087 0.6662 0.1849 [2 per cell]
Ho 0.3326 0.0003 0.3344 [2 per cell]

The 10 most intense peaks (2θ from 10° to 90°), most intense first:
| 2theta | I_rel | hkl |
| --- | --- | --- |
| 31.84 | 1000 | 1 1 -1 |
| 33.51 | 570 | -1 2 1 |
| 31.06 | 490 | 0 3 0 |
| 28.83 | 370 | 0 1 3 |
| 33.59 | 278 | 0 1 -3 |
| 50.73 | 250 | 1 1 5 |
| 54.65 | 224 | 1 4 -1 |
| 60.64 | 220 | 1 4 5 |
| 57.94 | 172 | -1 5 1 |
| 40.14 | 165 | 0 2 -3 |



Entry 9:
This entry pairs a crystal structure of Tb4PmHo5 with its computed powder XRD pattern. Radiation: Cu Ka. Structure: a GGA-PBE-relaxed structure.
Peak positions follow from Bragg's law for the DFT cell and can differ from measured ones.

Cell and atoms:
a b c (Å): 3.5536 6.6852 14.0929
angles (deg): 98.63 92.91 104.00
Space group P-1 (No. 2)
Asymmetric unit:
Tb 0.1206 0.3095 0.2166 [2 per cell]
Tb 0.1896 0.2266 0.8047 [2 per cell]
Pm 0.0000 0.5000 0.0000 [1 per cell]
Ho 0.2035 0.3805 0.5835 [2 per cell]
Ho 0.4899 0.9262 0.6132 [2 per cell]
Ho 0.5000 0.0000 0.0000 [1 per cell]

The 10 most intense peaks (2θ from 10° to 90°), most intense first:
| 2theta | I_rel | hkl |
| --- | --- | --- |
| 32.71 | 1000 | 0 2 2 |
| 31.24 | 729 | 0 2 -3 |
| 32.26 | 545 | 0 0 5 |
| 32.57 | 509 | 1 1 0 |
| 29.21 | 387 | -1 1 2 |
| 49.96 | 186 | 1 1 5 |
| 33.11 | 178 | 1 -2 0 |
| 30.99 | 168 | 1 0 -3 |
| 42.82 | 137 | 1 1 -5 |
| 35.06 | 136 | 1 0 -4 |



Entry 10:
This entry pairs a crystal structure of Tb4Pm3Ho5 with its computed powder XRD pattern. Radiation: Cu Ka. Structure: a GGA-PBE-relaxed structure.
Peak positions follow from Bragg's law for the DFT cell and can differ from measured ones.

Cell and atoms:
a b c (Å): 15.9914 5.9134 9.2747
angles (deg): 90.00 116.11 90.00
Space group C2/m (No. 12)
Asymmetric unit:
Tb 0.0822 0.0000 0.4424 [4 per cell]
Tb 0.2100 0.0000 0.8785 [4 per cell]
Pm 0.0000 0.5000 0.0000 [2 per cell]
Pm 0.2087 0.0000 0.2313 [4 per cell]
Ho 0.0000 0.0000 0.0000 [2 per cell]
Ho 0.0731 0.5000 0.6973 [4 per cell]
Ho 0.1724 0.5000 0.3879 [4 per cell]

The 10 most intense peaks (2θ from 10° to 90°), most intense first:
| 2theta | I_rel | hkl |
| --- | --- | --- |
| 30.23 | 1000 | 0 2 0 |
| 32.77 | 698 | 5 1 -2 |
| 33.67 | 607 | 1 1 -3 |
| 31.95 | 554 | 5 1 -1 |
| 29.11 | 400 | 2 0 2 |
| 29.45 | 370 | 3 1 1 |
| 31.17 | 356 | 4 0 1 |
| 33.00 | 318 | 3 1 -3 |
| 43.97 | 278 | 4 2 1 |
| 28.93 | 276 | 2 0 -3 |



Entry 11:
This entry pairs a crystal structure of Tb4PmHo4 with its computed powder XRD pattern. Radiation: Cu Ka. Structure: a GGA-PBE-relaxed structure.
Peak positions follow from Bragg's law for the DFT cell and can differ from measured ones.

Cell and atoms:
a b c (Å): 10.6700 10.6700 5.0133
angles (deg): 90.00 90.00 90.00
Space group I4/mmm (No. 139)
Asymmetric unit:
Tb 0.0000 0.3335 0.0000 [8 per cell]
Pm 0.0000 0.0000 0.0000 [2 per cell]
Ho 0.1672 0.1672 0.5000 [8 per cell]

The 10 most intense peaks (2θ from 10° to 90°), most intense first:
| 2theta | I_rel | hkl |
| --- | --- | --- |
| 30.82 | 1000 | 3 0 1 |
| 51.44 | 360 | 6 0 0 |
| 35.70 | 338 | 3 3 0 |
| 61.13 | 286 | 6 3 1 |
| 35.82 | 168 | 0 0 2 |
| 61.29 | 142 | 3 0 3 |
| 64.22 | 123 | 6 0 2 |
| 84.00 | 119 | 6 3 3 |
| 86.58 | 111 | 9 3 0 |
| 83.86 | 60 | 9 0 1 |



Entry 12:
This entry pairs a crystal structure of Tb3Pm8Ho4 with its computed powder XRD pattern. Radiation: Cu Ka. Structure: a GGA-PBE-relaxed structure.
Peak positions follow from Bragg's law for the DFT cell and can differ from measured ones.

Cell and atoms:
a b c (Å): 13.7837 12.1528 6.8739
angles (deg): 90.00 118.45 90.00
Space group C2/m (No. 12)
Asymmetric unit:
Tb 0.0000 0.0000 0.0000 [2 per cell]
Tb 0.2500 0.2500 0.5000 [4 per cell]
Pm 0.0000 0.2045 0.5000 [4 per cell]
Pm 0.0000 0.2531 0.0000 [4 per cell]
Pm 0.2036 0.0000 0.6788 [4 per cell]
Pm 0.2455 0.5000 0.7825 [4 per cell]
Ho 0.0000 0.5000 0.0000 [2 per cell]
Ho 0.0000 0.5000 0.5000 [2 per cell]
Ho 0.2500 0.2500 0.0000 [4 per cell]

The 10 most intense peaks (2θ from 10° to 90°), most intense first:
| 2theta | I_rel | hkl |
| --- | --- | --- |
| 29.50 | 1000 | 4 0 0 |
| 29.39 | 823 | 0 4 0 |
| 42.12 | 483 | 4 4 0 |
| 29.87 | 451 | 2 2 -2 |
| 33.71 | 355 | 4 2 -2 |
| 33.11 | 333 | 0 2 2 |
| 25.92 | 265 | 2 0 -2 |
| 30.23 | 213 | 4 0 -2 |
| 39.59 | 194 | 2 4 -2 |
| 53.33 | 157 | 4 0 -4 |